Entry 1:
Structure and calculated powder diffraction line list of Sm2GdNi2B2N3 (a structure optimized by DFT (GGA-PBE); Cu Ka).
Kinematic intensities with the Lorentz-polarization factor, no thermal factor.

Cell and atoms:
```
data_Sm2GdNi2B2N3
_space_group_name_H-M_alt 'I 4/m m m'
_space_group_IT_number 139
_space_group_name_Hall '-I 4 2'
_cell_length_a 3.5522
_cell_length_b 3.5522
_cell_length_c 20.1947
_cell_angle_alpha 90.00
_cell_angle_beta 90.00
_cell_angle_gamma 90.00
loop_
_atom_site_label
_atom_site_fract_x
_atom_site_fract_y
_atom_site_fract_z
Sm1 0.0000 0.0000 0.1242
Gd1 0.0000 0.0000 0.5000
Ni1 0.0000 0.5000 0.2500
B1 0.0000 0.0000 0.3094
N1 0.0000 0.0000 0.0000
N2 0.0000 0.0000 0.3814
```

Most intense lines, 2θ from 10° to 90°, sorted by position:
2θ (°)  I/Imax  hkl
28.41  100.0  1 0 3
33.60  80.0  1 0 5
35.56  51.7  0 0 8
35.75  39.7  1 1 0
36.88  43.3  1 1 2
40.10  32.8  1 1 4
51.45  38.6  2 0 0
59.82  26.8  2 1 3
62.86  27.3  2 1 5
64.11  35.5  2 0 8



Entry 2:
Structure and calculated powder diffraction line list of AlCoCuSe4 (a structure optimized by DFT (GGA-PBE); Cu Ka).
Kinematic intensities with the Lorentz-polarization factor, no thermal factor.

Cell and atoms:
```
data_AlCoCuSe4
_space_group_name_H-M_alt 'P 41 2 2'
_space_group_IT_number 91
_cell_length_a 7.2759
_cell_length_b 7.2759
_cell_length_c 10.2103
_cell_angle_alpha 90.00
_cell_angle_beta 90.00
_cell_angle_gamma 90.00
loop_
_space_group_symop_operation_xyz
'x,y,z'
'-y,x,z+1/4'
'-x,-y,z+1/2'
'y,-x,z+3/4'
'x,-y,-z+1/2'
'-y,-x,-z+1/4'
'-x,y,-z'
'y,x,-z+3/4'
loop_
_atom_site_label
_atom_site_fract_x
_atom_site_fract_y
_atom_site_fract_z
Al1 0.0000 0.2467 0.0000
Co1 0.2509 0.5000 0.7500
Cu1 0.2600 0.2600 0.3750
Se1 0.0201 0.2624 0.7500
Se2 0.2627 0.4785 0.9834
```

Most intense lines, 2θ from 10° to 90°, sorted by position:
2θ (°)  I/Imax  hkl
24.53  28.6  1 1 2
28.80  31.3  2 1 1
30.17  100.0  2 0 2
34.88  74.8  2 2 0
35.16  36.6  0 0 4
45.84  32.9  3 2 1
50.15  48.7  4 0 0
50.36  97.3  2 2 4
59.65  21.7  4 2 2
62.72  22.3  4 0 4



Please write out number 1 again, unchanged.
Structure and calculated powder diffraction line list of Sm2GdNi2B2N3 (a structure optimized by DFT (GGA-PBE); Cu Ka).
Kinematic intensities with the Lorentz-polarization factor, no thermal factor.

Cell and atoms:
```
data_Sm2GdNi2B2N3
_space_group_name_H-M_alt 'I 4/m m m'
_space_group_IT_number 139
_space_group_name_Hall '-I 4 2'
_cell_length_a 3.5522
_cell_length_b 3.5522
_cell_length_c 20.1947
_cell_angle_alpha 90.00
_cell_angle_beta 90.00
_cell_angle_gamma 90.00
loop_
_atom_site_label
_atom_site_fract_x
_atom_site_fract_y
_atom_site_fract_z
Sm1 0.0000 0.0000 0.1242
Gd1 0.0000 0.0000 0.5000
Ni1 0.0000 0.5000 0.2500
B1 0.0000 0.0000 0.3094
N1 0.0000 0.0000 0.0000
N2 0.0000 0.0000 0.3814
```

Most intense lines, 2θ from 10° to 90°, sorted by position:
2θ (°)  I/Imax  hkl
28.41  100.0  1 0 3
33.60  80.0  1 0 5
35.56  51.7  0 0 8
35.75  39.7  1 1 0
36.88  43.3  1 1 2
40.10  32.8  1 1 4
51.45  38.6  2 0 0
59.82  26.8  2 1 3
62.86  27.3  2 1 5
64.11  35.5  2 0 8